The following is a simulated powder XRD pattern of Ho2ZnHg. It was derived from a structure optimized by DFT (GGA-PBE), using Cu Kα.
Intensities are scaled so that the largest is 100.

Main lines, sorted by position (10 to 80 degrees two-theta):
21.11 deg, I = 10
24.42 deg, I = 1
34.81 deg, I = 100
41.06 deg, I = 6
50.04 deg, I = 18
54.89 deg, I = 3
62.40 deg, I = 37
66.66 deg, I = 2
73.48 deg, I = 11
77.45 deg, I = 2

Structural model:
```
data_Ho2ZnHg
_cell_length_a 7.291
_cell_length_b 7.291
_cell_length_c 7.291
_cell_angle_alpha 90.00
_cell_angle_beta 90.00
_cell_angle_gamma 90.00
_space_group_name_H-M_alt 'F m -3 m'
_space_group_IT_number 225
_space_group_name_Hall '-F 4 2 3'
loop_
_atom_site_label
_atom_site_type_symbol
_atom_site_fract_x
_atom_site_fract_y
_atom_site_fract_z
Ho1 Ho 0.250 0.250 0.250
Zn1 Zn 0.000 0.000 0.000
Hg1 Hg 0.000 0.000 0.500
```